Starting from the PBE geometry in Alexandria, the powder X-ray diffraction pattern of Li4Hg was computed for Cu Kα, 1.54184 Å.
Intensities are scaled so that the largest is 100.

Top 10 peaks for 10° ≤ 2θ ≤ 90°, in order of falling intensity:
| 2θ/deg | Rel. int. | (hkl) |
| --- | --- | --- |
| 25.4 | 100 | 1 0 1 |
| 19.2 | 98 | 1 1 0 |
| 37.6 | 85 | 1 2 1 |
| 27.3 | 42 | 2 0 0 |
| 43.7 | 36 | 3 1 0 |
| 76.3 | 29 | 1 2 3 |
| 63.6 | 28 | 3 1 2 |
| 55.3 | 25 | 2 3 1 |
| 47.1 | 20 | 3 0 1 |
| 48.1 | 19 | 1 1 2 |

Structural model:
```
data_Li4Hg
_chemical_formula_sum 'Li8 Hg2'
_cell_length_a 6.545
_cell_length_b 6.545
_cell_length_c 4.143
_cell_angle_alpha 90.00
_cell_angle_beta 90.00
_cell_angle_gamma 90.00
_symmetry_space_group_name_H-M 'I 4/m'
_symmetry_Int_Tables_number 87
_symmetry_space_group_name_Hall '-I 4'
loop_
_atom_site_label
_atom_site_type_symbol
_atom_site_fract_x
_atom_site_fract_y
_atom_site_fract_z
Li1 Li 0.105 0.708 0.000
Hg1 Hg 0.000 0.000 0.500
```

Starting from the PBE geometry in Alexandria, the powder X-ray diffraction pattern of Li12Hg was computed for Cu Kα, 1.54184 Å.
Intensities are scaled so that the largest is 100.

Top 10 peaks for 10° ≤ 2θ ≤ 90°, in order of falling intensity:
| 2θ/deg | Rel. int. | (hkl) |
| --- | --- | --- |
| 11.8 | 100 | 1 0 0 |
| 16.7 | 73 | 1 1 0 |
| 26.5 | 64 | 2 1 0 |
| 29.1 | 62 | 2 1 1 |
| 20.5 | 39 | 1 1 1 |
| 45.1 | 38 | 3 2 1 |
| 35.8 | 37 | 2 2 1 |
| 23.7 | 26 | 2 0 0 |
| 50.0 | 23 | 4 1 0 |
| 39.7 | 23 | 3 1 1 |

Structural model:
```
data_Li12Hg
_chemical_formula_sum 'Li12 Hg1'
_cell_length_a 7.522
_cell_length_b 7.522
_cell_length_c 7.522
_cell_angle_alpha 90.00
_cell_angle_beta 90.00
_cell_angle_gamma 90.00
_symmetry_space_group_name_H-M 'P m -3 m'
_symmetry_Int_Tables_number 221
_symmetry_space_group_name_Hall '-P 4 2 3'
loop_
_atom_site_label
_atom_site_type_symbol
_atom_site_fract_x
_atom_site_fract_y
_atom_site_fract_z
Li1 Li 0.000 0.248 0.500
Hg1 Hg 0.000 0.000 0.000
```

Starting from the PBE geometry in Alexandria, the powder X-ray diffraction pattern of Li13Hg3 was computed for Cu Kα, 1.54184 Å.
Intensities are scaled so that the largest is 100.

Top 10 peaks for 10° ≤ 2θ ≤ 90°, in order of falling intensity:
| 2θ/deg | Rel. int. | (hkl) |
| --- | --- | --- |
| 15.0 | 100 | 0 1 1 |
| 26.1 | 87 | 2 1 1 |
| 37.3 | 63 | 2 2 2 |
| 21.6 | 51 | 0 2 0 |
| 30.1 | 42 | 2 0 2 |
| 18.4 | 35 | 1 1 1 |
| 33.6 | 31 | 0 1 3 |
| 40.7 | 29 | 2 3 1 |
| 46.1 | 25 | 0 3 3 |
| 10.6 | 22 | 1 0 0 |

Structural model:
```
data_Li13Hg3
_chemical_formula_sum 'Li26 Hg6'
_cell_length_a 8.356
_cell_length_b 8.243
_cell_length_c 8.461
_cell_angle_alpha 90.00
_cell_angle_beta 90.00
_cell_angle_gamma 90.00
_symmetry_space_group_name_H-M 'A m m 2'
_symmetry_Int_Tables_number 38
loop_
_symmetry_equiv_pos_as_xyz
'x,y,z'
'-x,-y,z'
'-x,y,z'
'x,-y,z'
'x,y+1/2,z+1/2'
'-x,-y+1/2,z+1/2'
'-x,y+1/2,z+1/2'
'x,-y+1/2,z+1/2'
loop_
_atom_site_label
_atom_site_type_symbol
_atom_site_fract_x
_atom_site_fract_y
_atom_site_fract_z
Li1 Li 0.000 0.000 0.000
Li2 Li 0.000 0.000 0.481
Li3 Li 0.000 0.244 0.239
Li4 Li 0.252 0.000 0.734
Li5 Li 0.255 0.240 0.987
Li6 Li 0.500 0.000 0.482
Li7 Li 0.500 0.229 0.232
Hg1 Hg 0.243 0.000 0.251
Hg2 Hg 0.500 0.000 0.956
```

Starting from the PBE geometry in Alexandria, the powder X-ray diffraction pattern of Li8Hg3 was computed for Cu Kα, 1.54184 Å.
Intensities are scaled so that the largest is 100.

Top 10 peaks for 10° ≤ 2θ ≤ 90°, in order of falling intensity:
| 2θ/deg | Rel. int. | (hkl) |
| --- | --- | --- |
| 23.9 | 100 | 1 1 0 |
| 22.7 | 68 | 2 0 -2 |
| 25.7 | 52 | 0 0 3 |
| 37.5 | 51 | 1 1 3 |
| 38.0 | 50 | 3 1 -2 |
| 24.6 | 38 | 2 0 1 |
| 27.6 | 37 | 1 1 -2 |
| 41.2 | 34 | 3 1 1 |
| 33.0 | 26 | 1 1 -3 |
| 20.7 | 21 | 2 0 0 |

Structural model:
```
data_Li8Hg3
_chemical_formula_sum 'Li16 Hg6'
_cell_length_a 8.971
_cell_length_b 4.140
_cell_length_c 10.870
_cell_angle_alpha 90.00
_cell_angle_beta 106.64
_cell_angle_gamma 90.00
_symmetry_space_group_name_H-M 'C 1 2/m 1'
_symmetry_Int_Tables_number 12
loop_
_symmetry_equiv_pos_as_xyz
'x,y,z'
'-x,-y,-z'
'-x,y,-z'
'x,-y,z'
'x+1/2,y+1/2,z'
'-x+1/2,-y+1/2,-z'
'-x+1/2,y+1/2,-z'
'x+1/2,-y+1/2,z'
loop_
_atom_site_label
_atom_site_type_symbol
_atom_site_fract_x
_atom_site_fract_y
_atom_site_fract_z
Li1 Li 0.051 0.000 0.319
Li2 Li 0.129 0.000 0.957
Li3 Li 0.173 0.500 0.773
Li4 Li 0.225 0.000 0.591
Hg1 Hg 0.000 0.500 0.500
Hg2 Hg 0.109 0.500 0.145
```

Starting from the PBE geometry in Alexandria, the powder X-ray diffraction pattern of Li5Hg4 was computed for Cu Kα, 1.54184 Å.
Intensities are scaled so that the largest is 100.

Top 10 peaks for 10° ≤ 2θ ≤ 90°, in order of falling intensity:
| 2θ/deg | Rel. int. | (hkl) |
| --- | --- | --- |
| 24.1 | 100 | 1 1 -1 |
| 37.0 | 71 | 3 1 0 |
| 37.1 | 64 | 1 1 -3 |
| 21.2 | 54 | 0 0 2 |
| 25.5 | 48 | 2 0 1 |
| 43.3 | 41 | 2 0 3 |
| 37.7 | 29 | 3 1 -2 |
| 62.2 | 29 | 2 2 3 |
| 42.4 | 25 | 0 2 0 |
| 47.8 | 25 | 0 2 2 |

Structural model:
```
data_Li5Hg4
_chemical_formula_sum 'Li10 Hg8'
_cell_length_a 9.351
_cell_length_b 4.268
_cell_length_c 8.835
_cell_angle_alpha 90.00
_cell_angle_beta 108.28
_cell_angle_gamma 90.00
_symmetry_space_group_name_H-M 'C 1 2/m 1'
_symmetry_Int_Tables_number 12
loop_
_symmetry_equiv_pos_as_xyz
'x,y,z'
'-x,-y,-z'
'-x,y,-z'
'x,-y,z'
'x+1/2,y+1/2,z'
'-x+1/2,-y+1/2,-z'
'-x+1/2,y+1/2,-z'
'x+1/2,-y+1/2,z'
loop_
_atom_site_label
_atom_site_type_symbol
_atom_site_fract_x
_atom_site_fract_y
_atom_site_fract_z
Li1 Li 0.000 0.000 0.000
Li2 Li 0.158 0.500 0.877
Li3 Li 0.165 0.500 0.552
Hg1 Hg 0.006 0.000 0.332
Hg2 Hg 0.167 0.500 0.198
```

Starting from the PBE geometry in Alexandria, the powder X-ray diffraction pattern of Li5Hg6 was computed for Cu Kα, 1.54184 Å.
Intensities are scaled so that the largest is 100.

Top 10 peaks for 10° ≤ 2θ ≤ 90°, in order of falling intensity:
| 2θ/deg | Rel. int. | (hkl) |
| --- | --- | --- |
| 29.3 | 100 | 1 3 -1 |
| 33.4 | 95 | 2 0 -2 |
| 28.4 | 45 | 0 0 2 |
| 28.3 | 36 | 2 0 0 |
| 16.2 | 31 | 1 1 0 |
| 36.7 | 23 | 1 1 2 |
| 48.1 | 22 | 1 3 -3 |
| 43.9 | 19 | 3 1 0 |
| 60.8 | 19 | 3 1 2 |
| 48.8 | 18 | 2 4 1 |

Structural model:
```
data_Li5Hg6
_chemical_formula_sum 'Li10 Hg12'
_cell_length_a 6.632
_cell_length_b 11.123
_cell_length_c 6.605
_cell_angle_alpha 90.00
_cell_angle_beta 108.18
_cell_angle_gamma 90.00
_symmetry_space_group_name_H-M 'C 1 2/m 1'
_symmetry_Int_Tables_number 12
loop_
_symmetry_equiv_pos_as_xyz
'x,y,z'
'-x,-y,-z'
'-x,y,-z'
'x,-y,z'
'x+1/2,y+1/2,z'
'-x+1/2,-y+1/2,-z'
'-x+1/2,y+1/2,-z'
'x+1/2,-y+1/2,z'
loop_
_atom_site_label
_atom_site_type_symbol
_atom_site_fract_x
_atom_site_fract_y
_atom_site_fract_z
Li1 Li 0.000 0.000 0.000
Li2 Li 0.000 0.143 0.500
Li3 Li 0.000 0.277 0.000
Hg1 Hg 0.193 0.359 0.700
Hg2 Hg 0.195 0.500 0.220
```